For Nd2O3, the PBE geometry in the Materials Project gives the simulated X-ray powder pattern in this record (Cu Kα (weighted mean of Kα1 and Kα2)).
Kinematic intensities with the Lorentz-polarization factor, no thermal factor.

Top 7 peaks for 5 to 70 degrees two-theta, in order of rising 2θ:
| d/Å | I/Imax |
| --- | --- |
| 4.501 | 1 |
| 3.183 | 100 |
| 2.599 | 1 |
| 2.251 | 30 |
| 1.838 | 42 |
| 1.591 | 19 |
| 1.423 | 19 |

Structure:
a b c (Å): 4.5011 4.5011 4.5011
angles (deg): 90.00 90.00 90.00
Sites, in units of the cell vectors:
Nd: 0.0000 0.0000 0.0000
Nd: 0.5000 0.5000 0.5000
O: 0.0000 0.0000 0.5000
O: 0.0000 0.5000 0.0000
O: 0.5000 0.0000 0.0000